[1]
# Li3Co3SbO8
Simulated powder XRD pattern, Cu Kα. Input: a GGA+U-relaxed structure.
No peak broadening, texture or thermal motion is included.

Largest 6 diffraction maxima, sorted by position, 2θ from 10° to 90°:
| 2θ (°) | intensity |
| --- | --- |
| 17.9 | 100.0 |
| 34.6 | 16.1 |
| 41.9 | 20.6 |
| 42.3 | 19.8 |
| 42.4 | 19.5 |
| 61.1 | 16.9 |

Structure:
abc: 6.0055 6.0636 8.6276
angles: 89.79 89.92 89.79
Atoms (fractional coordinates):
Li  0.0000  0.0000  0.0000
Li  0.2492  0.2484  0.7505
Li  0.2496  0.7497  0.2496
Li  0.5000  0.5000  0.5000
Li  0.7504  0.2503  0.7504
Li  0.7508  0.7516  0.2495
Co  0.0000  0.0000  0.5000
Co  0.2473  0.2479  0.2514
Co  0.2516  0.7494  0.7496
Co  0.5000  0.5000  0.0000
Co  0.7484  0.2506  0.2504
Co  0.7527  0.7521  0.7486
Sb  0.0000  0.5000  0.0000
Sb  0.5000  0.0000  0.5000
O  0.0014  0.5071  0.7660
O  0.0005  0.9648  0.7488
O  0.2377  0.7301  0.9937
O  0.2385  0.2703  0.0071
O  0.2632  0.2318  0.4933
O  0.2634  0.7690  0.5066
O  0.4994  0.4608  0.2446
O  0.5003  0.0056  0.2664
O  0.4997  0.9944  0.7336
O  0.5006  0.5392  0.7554
O  0.7366  0.2310  0.4934
O  0.7368  0.7682  0.5067
O  0.7615  0.7297  0.9929
O  0.7623  0.2699  0.0063
O  0.9995  0.0352  0.2512
O  0.9986  0.4929  0.2340

=====

[2]
# MnOF
Simulated powder XRD pattern, Cu Kα. Input: a GGA+U-relaxed structure.
No peak broadening, texture or thermal motion is included.

Largest 6 diffraction maxima, sorted by position, 2θ from 10° to 90°:
| 2θ (°) | intensity |
| --- | --- |
| 25.2 | 100.0 |
| 27.6 | 84.1 |
| 34.7 | 41.5 |
| 34.9 | 47.3 |
| 51.1 | 31.9 |
| 53.8 | 23.2 |

Structure:
abc: 4.8237 3.0637 19.0158
angles: 90.00 95.09 90.00
Atoms (fractional coordinates):
Mn  0.0000  0.0000  0.0000
Mn  0.0000  0.0000  0.5000
Mn  0.0543  0.0000  0.2510
Mn  0.4060  0.5000  0.8748
Mn  0.4749  0.5000  0.6238
Mn  0.5251  0.5000  0.3762
Mn  0.5940  0.5000  0.1252
Mn  0.9457  0.0000  0.7490
O  0.1598  0.5000  0.9530
O  0.2423  0.0000  0.8243
O  0.2920  0.0000  0.5743
O  0.3373  0.0000  0.3273
O  0.6627  0.0000  0.6727
O  0.7080  0.0000  0.4257
O  0.7577  0.0000  0.1757
O  0.8402  0.5000  0.0470
F  0.1489  0.5000  0.7036
F  0.1909  0.5000  0.4525
F  0.2462  0.5000  0.2007
F  0.3622  0.0000  0.0794
F  0.6378  0.0000  0.9206
F  0.7538  0.5000  0.7993
F  0.8091  0.5000  0.5475
F  0.8511  0.5000  0.2964

=====

[3]
# Sr2GdWO6
Simulated powder XRD pattern, Cu Kα. Input: a GGA+U-relaxed structure.
No peak broadening, texture or thermal motion is included.

Largest 6 diffraction maxima, sorted by position, 2θ from 10° to 90°:
| 2θ (°) | intensity |
| --- | --- |
| 21.0 | 19.7 |
| 29.9 | 100.0 |
| 42.7 | 30.0 |
| 53.0 | 40.9 |
| 62.0 | 18.8 |
| 85.9 | 22.0 |

Structure:
abc: 5.9853 5.9853 5.9853
angles: 60.00 60.00 60.00
Atoms (fractional coordinates):
Sr  0.2500  0.2500  0.2500
Sr  0.7500  0.7500  0.7500
Gd  0.0000  0.0000  0.0000
W  0.5000  0.5000  0.5000
O  0.2649  0.2649  0.7351
O  0.2649  0.7351  0.2649
O  0.2649  0.7351  0.7351
O  0.7351  0.2649  0.2649
O  0.7351  0.2649  0.7351
O  0.7351  0.7351  0.2649

=====

[4]
# LaFeO3
Simulated powder XRD pattern, Cu Kα. Input: a GGA+U-relaxed structure.
No peak broadening, texture or thermal motion is included.

Largest 6 diffraction maxima, sorted by position, 2θ from 10° to 90°:
| 2θ (°) | intensity |
| --- | --- |
| 25.7 | 56.8 |
| 30.4 | 100.0 |
| 31.0 | 63.7 |
| 32.4 | 45.9 |
| 41.8 | 45.6 |
| 46.1 | 45.7 |

Structure:
abc: 4.0462 11.0651 6.7599
angles: 90.00 90.03 90.00
Atoms (fractional coordinates):
La  0.0003  0.0000  0.0000
La  0.9997  0.5000  0.0000
La  0.4998  0.0002  0.4997
La  0.5002  0.5002  0.5003
Fe  0.0740  0.2501  0.6889
Fe  0.4255  0.2501  0.1889
Fe  0.5745  0.7501  0.8111
Fe  0.9260  0.7501  0.3111
O  0.0238  0.5837  0.3338
O  0.0238  0.9164  0.3339
O  0.0829  0.2498  0.9845
O  0.4171  0.2498  0.4845
O  0.4763  0.5837  0.8343
O  0.4764  0.9162  0.8343
O  0.5237  0.0837  0.1657
O  0.5236  0.4162  0.1657
O  0.5829  0.7498  0.5155
O  0.9171  0.7498  0.0155
O  0.9762  0.0837  0.6662
O  0.9762  0.4164  0.6661

=====

[5]
# La2MnNiO6
Simulated powder XRD pattern, Cu Kα. Input: a GGA+U-relaxed structure.
No peak broadening, texture or thermal motion is included.

Largest 6 diffraction maxima, sorted by position, 2θ from 10° to 90°:
| 2θ (°) | intensity |
| --- | --- |
| 22.7 | 13.4 |
| 32.3 | 100.0 |
| 39.9 | 14.2 |
| 46.3 | 18.6 |
| 57.6 | 21.7 |
| 57.7 | 17.7 |

Structure:
abc: 5.5448 5.5425 9.5761
angles: 90.00 125.24 90.00
Atoms (fractional coordinates):
La  0.2439  0.0315  0.2500
La  0.2439  0.4685  0.7500
La  0.7561  0.5315  0.2500
La  0.7561  0.9685  0.7500
Mn  0.0000  0.0000  0.5000
Mn  0.0000  0.5000  0.0000
Ni  0.5000  0.0000  0.0000
Ni  0.5000  0.5000  0.5000
O  0.1685  0.2236  0.9608
O  0.1685  0.2764  0.4608
O  0.2349  0.7097  0.9608
O  0.2349  0.7903  0.4608
O  0.3153  0.0140  0.7419
O  0.3153  0.4860  0.2419
O  0.6847  0.5140  0.7581
O  0.6847  0.9860  0.2581
O  0.7651  0.2097  0.5392
O  0.7651  0.2903  0.0392
O  0.8315  0.7236  0.5392
O  0.8315  0.7764  0.0392

=====

[6]
# La2Fe2O5
Simulated powder XRD pattern, Cu Kα. Input: a GGA+U-relaxed structure.
No peak broadening, texture or thermal motion is included.

Largest 6 diffraction maxima, sorted by position, 2θ from 10° to 90°:
| 2θ (°) | intensity |
| --- | --- |
| 21.8 | 36.4 |
| 30.5 | 39.1 |
| 31.4 | 100.0 |
| 31.5 | 43.9 |
| 33.5 | 89.0 |
| 44.4 | 51.9 |

Structure:
abc: 4.0865 4.0865 7.5356
angles: 93.55 93.55 91.65
Atoms (fractional coordinates):
La  0.0000  0.0000  0.0000
La  0.9289  0.0711  0.5000
Fe  0.4193  0.5486  0.2668
Fe  0.4514  0.5807  0.7332
O  0.3778  0.6222  0.0000
O  0.3935  0.0660  0.2939
O  0.4466  0.0797  0.7176
O  0.9203  0.5534  0.2824
O  0.9340  0.6065  0.7061

=====

[7]
# LiVP2O8
Simulated powder XRD pattern, Cu Kα. Input: a GGA+U-relaxed structure.
No peak broadening, texture or thermal motion is included.

Largest 6 diffraction maxima, sorted by position, 2θ from 10° to 90°:
| 2θ (°) | intensity |
| --- | --- |
| 15.4 | 26.4 |
| 20.3 | 100.0 |
| 23.9 | 63.2 |
| 31.1 | 28.7 |
| 36.6 | 34.2 |
| 37.4 | 22.6 |

Structure:
abc: 5.7604 4.8869 9.7694
angles: 90.00 90.00 90.00
Atoms (fractional coordinates):
Li  0.0000  0.1804  0.0000
Li  0.0000  0.8196  0.5000
V  0.5000  0.3073  0.4492
V  0.5000  0.6927  0.9492
P  0.0000  0.3081  0.3069
P  0.0000  0.6919  0.8069
P  0.5000  0.1145  0.1230
P  0.5000  0.8855  0.6230
O  0.0000  0.0066  0.3308
O  0.0000  0.4099  0.1622
O  0.0000  0.5901  0.6622
O  0.0000  0.9934  0.8308
O  0.2227  0.4463  0.3848
O  0.2227  0.5537  0.8848
O  0.2984  0.0457  0.5513
O  0.2984  0.9543  0.0513
O  0.5000  0.0904  0.2790
O  0.5000  0.4218  0.0820
O  0.5000  0.5782  0.5820
O  0.5000  0.9096  0.7790
O  0.7016  0.0457  0.5513
O  0.7016  0.9543  0.0513
O  0.7773  0.4463  0.3848
O  0.7773  0.5537  0.8848

=====

[8]
# BaLaMnSnO6
Simulated powder XRD pattern, Cu Kα. Input: a GGA+U-relaxed structure.
No peak broadening, texture or thermal motion is included.

Largest 6 diffraction maxima, sorted by position, 2θ from 10° to 90°:
| 2θ (°) | intensity |
| --- | --- |
| 30.3 | 100.0 |
| 30.8 | 92.5 |
| 31.4 | 86.2 |
| 42.6 | 28.8 |
| 44.9 | 51.7 |
| 53.8 | 22.3 |

Structure:
abc: 5.8068 5.8068 5.7144
angles: 118.26 118.26 58.77
Atoms (fractional coordinates):
Ba  0.0000  0.0000  0.0000
La  0.4945  0.4945  0.4713
Mn  0.7519  0.7519  0.2534
Sn  0.2479  0.2479  0.7433
O  0.0089  0.0089  0.5511
O  0.0486  0.5309  0.0619
O  0.4778  0.9330  0.4589
O  0.4834  0.4834  0.8806
O  0.5309  0.0486  0.0619
O  0.9330  0.4778  0.4589

=====

[9]
# KEuMnBiO6
Simulated powder XRD pattern, Cu Kα. Input: a GGA+U-relaxed structure.
No peak broadening, texture or thermal motion is included.

Largest 6 diffraction maxima, sorted by position, 2θ from 10° to 90°:
| 2θ (°) | intensity |
| --- | --- |
| 18.8 | 38.6 |
| 30.9 | 100.0 |
| 36.5 | 26.2 |
| 44.3 | 31.1 |
| 55.0 | 39.8 |
| 89.8 | 21.9 |

Structure:
abc: 5.7806 5.7806 5.7806
angles: 60.00 60.00 60.00
Atoms (fractional coordinates):
K  0.0000  0.0000  0.0000
Eu  0.5000  0.5000  0.5000
Mn  0.2500  0.2500  0.2500
Bi  0.7500  0.7500  0.7500
O  0.0107  0.0107  0.4893
O  0.0107  0.4893  0.0107
O  0.0107  0.4893  0.4893
O  0.4893  0.0107  0.0107
O  0.4893  0.0107  0.4893
O  0.4893  0.4893  0.0107

=====

Repeat the fourth record exactly.
# LaFeO3
Simulated powder XRD pattern, Cu Kα. Input: a GGA+U-relaxed structure.
No peak broadening, texture or thermal motion is included.

Largest 6 diffraction maxima, sorted by position, 2θ from 10° to 90°:
| 2θ (°) | intensity |
| --- | --- |
| 25.7 | 56.8 |
| 30.4 | 100.0 |
| 31.0 | 63.7 |
| 32.4 | 45.9 |
| 41.8 | 45.6 |
| 46.1 | 45.7 |

Structure:
abc: 4.0462 11.0651 6.7599
angles: 90.00 90.03 90.00
Atoms (fractional coordinates):
La  0.0003  0.0000  0.0000
La  0.9997  0.5000  0.0000
La  0.4998  0.0002  0.4997
La  0.5002  0.5002  0.5003
Fe  0.0740  0.2501  0.6889
Fe  0.4255  0.2501  0.1889
Fe  0.5745  0.7501  0.8111
Fe  0.9260  0.7501  0.3111
O  0.0238  0.5837  0.3338
O  0.0238  0.9164  0.3339
O  0.0829  0.2498  0.9845
O  0.4171  0.2498  0.4845
O  0.4763  0.5837  0.8343
O  0.4764  0.9162  0.8343
O  0.5237  0.0837  0.1657
O  0.5236  0.4162  0.1657
O  0.5829  0.7498  0.5155
O  0.9171  0.7498  0.0155
O  0.9762  0.0837  0.6662
O  0.9762  0.4164  0.6661

=====

Question: Which formula does entry 8 have?
Answer: BaLaMnSnO6

=====

Question: Which formula does entry 6 have?
Answer: La2Fe2O5